Simulated X-ray powder pattern
Compound: Er5Ge2Sb2
Radiation: Cu Kα, 1.54184 Å
Structure: a PBE-relaxed structure
Kinematic intensities with the Lorentz-polarization factor, no thermal factor.

Crystal structure
```
Er5Ge2Sb2
1.0
7.508 -3.923 0.000
7.508 3.923 0.000
0.000 0.000 7.877
Er Ge Sb
10 4 4
direct
0.000 0.000 0.000 Er
0.037 0.707 0.664 Er
0.207 0.537 0.164 Er
0.293 0.963 0.664 Er
0.463 0.793 0.164 Er
0.500 0.500 0.500 Er
0.537 0.207 0.836 Er
0.707 0.037 0.336 Er
0.793 0.463 0.836 Er
0.963 0.293 0.336 Er
0.139 0.861 0.362 Ge
0.361 0.639 0.862 Ge
0.639 0.361 0.138 Ge
0.861 0.139 0.638 Ge
0.205 0.205 0.000 Sb
0.295 0.295 0.500 Sb
0.705 0.705 0.500 Sb
0.795 0.795 0.000 Sb
```

Most intense lines, 2θ from 10° to 80°, in order of rising 2θ:
2θ = 25.36°, rel. 45; 2θ = 26.00°, rel. 31; 2θ = 31.06°, rel. 88; 2θ = 32.21°, rel. 53; 2θ = 32.99°, rel. 97; 2θ = 33.93°, rel. 60; 2θ = 34.99°, rel. 100; 2θ = 36.58°, rel. 72; 2θ = 36.70°, rel. 72; 2θ = 39.44°, rel. 36